For K2TaSnS4, a GGA-PBE-relaxed structure gives the calculated powder diffractogram in this record (Cu Kα (weighted mean of Kα1 and Kα2)).

Structural model:
Cell: 6.8730 6.8730 6.8730 Å, 109.50 109.50 109.42°
Atoms (fractional coordinates):
K1 0.0000 0.0000 0.0000
K2 0.7500 0.2500 0.5000
Ta1 0.2500 0.7500 0.5000
Sn1 0.5000 0.5000 0.0000
S1 0.2590 0.7302 0.1633
S2 0.2698 0.4330 0.5288
S3 0.5670 0.0957 0.8367
S4 0.9043 0.7410 0.4712

Top 8 peaks for 2θ from 5° to 70°, most intense first:
d (Å), Position (°2θ), I (rel.)
3.241, 27.52, 100
5.612, 15.79, 79
2.121, 42.63, 77
3.967, 22.41, 41
2.805, 31.90, 33
1.775, 51.49, 32
1.449, 64.30, 19
1.871, 48.68, 17